# 1
Computed powder X-ray diffraction pattern of Al2Cu2Au5 for copper Kα, from the GGA-PBE geometry in Alexandria.
Neutral-atom scattering factors, no anomalous dispersion.

Cell and atoms:
```
Al2Cu2Au5
1.0
5.730 0.000 0.000
-1.300 7.375 0.000
-0.157 -3.364 6.879
Al Cu Au
4 4 10
direct
0.000 0.000 0.000 Al
0.125 0.403 0.344 Al
0.501 0.086 0.665 Al
0.870 0.437 0.694 Al
0.044 0.087 0.669 Cu
0.181 0.679 0.005 Cu
0.521 0.006 0.022 Cu
0.943 0.734 0.342 Cu
0.191 0.767 0.689 Au
0.248 0.054 0.311 Au
0.331 0.310 0.009 Au
0.343 0.416 0.673 Au
0.412 0.711 0.331 Au
0.666 0.414 0.360 Au
0.694 0.687 0.011 Au
0.701 0.802 0.686 Au
0.762 0.066 0.376 Au
0.837 0.323 0.985 Au
```

Peak list (12 most intense, 10 to 90 degrees two-theta, in order of falling intensity)
2θ (°), d/Å, intensity
42.72, 2.117, 100
40.81, 2.211, 92
39.29, 2.293, 77
39.85, 2.262, 54
36.88, 2.437, 50
42.57, 2.124, 35
31.90, 2.805, 29
65.10, 1.433, 28
23.32, 3.814, 20
79.97, 1.200, 20
36.19, 2.482, 19
29.81, 2.997, 18

---

# 2
Computed powder X-ray diffraction pattern of AlCuAu2 for copper Kα, from the GGA-PBE geometry in Alexandria.
Neutral-atom scattering factors, no anomalous dispersion.

Cell and atoms:
```
AlCuAu2
1.0
0.000 3.175 3.175
3.175 0.000 3.175
3.175 3.175 0.000
Al Cu Au
1 1 2
direct
0.000 0.000 0.000 Al
0.250 0.250 0.250 Cu
0.500 0.500 0.500 Au
0.750 0.750 0.750 Au
```

Peak list (9 most intense, 10 to 90 degrees two-theta, in order of falling intensity)
2θ (°), d/Å, intensity
40.16, 2.245, 100
24.28, 3.666, 45
72.99, 1.296, 35
47.49, 1.915, 24
58.10, 1.588, 17
86.74, 1.123, 11
63.90, 1.457, 10
78.22, 1.222, 8
28.10, 3.175, 1

---

# 3
Computed powder X-ray diffraction pattern of Al2CuAu3 for copper Kα, from the GGA-PBE geometry in Alexandria.
Neutral-atom scattering factors, no anomalous dispersion.

Cell and atoms:
```
Al2CuAu3
1.0
6.020 -2.434 0.000
6.020 2.434 0.000
-2.970 0.000 6.733
Al Cu Au
4 2 6
direct
0.034 0.034 0.214 Al
0.308 0.308 0.469 Al
0.692 0.692 0.531 Al
0.966 0.966 0.786 Al
0.379 0.379 0.881 Cu
0.621 0.621 0.119 Cu
0.142 0.142 0.613 Au
0.194 0.194 0.058 Au
0.461 0.461 0.279 Au
0.539 0.539 0.721 Au
0.806 0.806 0.942 Au
0.858 0.858 0.387 Au
```

Peak list (12 most intense, 10 to 90 degrees two-theta, in order of falling intensity)
2θ (°), d/Å, intensity
30.53, 2.928, 100
41.98, 2.152, 52
42.09, 2.147, 52
36.47, 2.464, 47
36.93, 2.434, 46
16.16, 5.484, 33
52.87, 1.732, 33
70.03, 1.344, 23
62.61, 1.484, 14
49.88, 1.828, 12
63.66, 1.462, 12
69.56, 1.351, 12